KNaMo2O6: calculated X-ray diffraction stick pattern (Cu Kα, 1.54184 Å), based on a structure optimized by DFT (PBE+U).

Atomic structure:
```
10
Lattice="3.985 0.000 0.000 0.000 3.985 0.000 0.000 0.000 7.913" Properties=species:S:1:pos:R:3 pbc="T T T"
K 0.000 0.000 0.000
Na 0.000 0.000 3.957
Mo 1.993 1.993 1.993
Mo 1.993 1.993 5.920
O 0.000 1.993 2.011
O 0.000 1.993 5.902
O 1.993 0.000 2.011
O 1.993 0.000 5.902
O 1.993 1.993 0.000
O 1.993 1.993 3.957
```

Principal peaks in the range 2θ from 10° to 90°, sorted by position:
(hkl), two_theta, I_rel
1 0 0, 22.31, 66
0 0 2, 22.47, 32
1 1 0, 31.75, 51
1 0 2, 31.87, 100
2 0 0, 45.52, 43
0 0 4, 45.87, 21
2 1 0, 51.30, 26
2 1 2, 56.64, 37
1 1 4, 56.87, 19
2 0 4, 66.61, 24